1.
The following is a calculated XRD peak list of NaLi2BiI6. It was derived from a DFT-relaxed cell (PBE, Alexandria), using a wavelength of 1.5418 Å.

Atomic structure:
abc: 8.3515 8.3515 8.3515
angles: 55.27 55.27 55.27
Fractional coordinates of all 10 atoms:
Na (0.0000, 0.0000, 0.0000)
Li (0.3019, 0.3019, 0.3019)
Li (0.8111, 0.8111, 0.8111)
Bi (0.4885, 0.4885, 0.4885)
I (0.0695, 0.6879, 0.4325)
I (0.2062, 0.5708, 0.9093)
I (0.4325, 0.0695, 0.6879)
I (0.5708, 0.9093, 0.2062)
I (0.6879, 0.4325, 0.0695)
I (0.9093, 0.2062, 0.5708)

Peak list (12 most intense, 2θ = 10–80°, in order of rising 2θ)
2θ = 13.8°, I 204
2θ = 15.6°, I 169
2θ = 21.4°, I 108
2θ = 25.3°, I 127
2θ = 26.2°, I 1000
2θ = 27.9°, I 113
2θ = 34.4°, I 406
2θ = 40.3°, I 309
2θ = 45.1°, I 233
2θ = 48.8°, I 150
2θ = 65.1°, I 96
2θ = 67.7°, I 116

2.
The following is a calculated XRD peak list of LiBi2I2O2. It was derived from a DFT-relaxed cell (PBE, Alexandria), using a wavelength of 1.5418 Å.

Atomic structure:
abc: 4.1728 4.1728 10.2610
angles: 90.00 90.00 90.00
Fractional coordinates of all 7 atoms:
Li (0.0000, 0.0000, 0.0000)
Bi (0.0000, 0.0000, 0.3250)
Bi (0.5000, 0.5000, 0.5444)
I (0.0000, 0.0000, 0.7322)
I (0.5000, 0.5000, 0.0825)
O (0.0000, 0.5000, 0.4285)
O (0.5000, 0.0000, 0.4285)

Peak list (12 most intense, 2θ = 10–80°, in order of rising 2θ)
2θ = 27.6°, I 1000
2θ = 30.3°, I 446
2θ = 33.9°, I 270
2θ = 43.4°, I 206
2θ = 46.9°, I 155
2θ = 52.2°, I 351
2θ = 54.5°, I 133
2θ = 56.1°, I 131
2θ = 63.6°, I 69
2θ = 67.8°, I 70
2θ = 70.1°, I 74
2θ = 71.5°, I 81